1.
Starting from the PBE+U geometry in the Materials Project, the powder diffraction line list of TiMn4O10 was computed for λ = 1.5418 Å (Cu Kα).
Neutral-atom scattering factors, no anomalous dispersion.

Structural model:
abc: 5.8458 5.8458 24.1557
angles: 96.76 96.76 59.70
Positions (direct):
Ti  0.2002  0.2002  0.1002
Ti  0.2000  0.2000  0.6000
Ti  0.8000  0.8000  0.4000
Ti  0.7998  0.7998  0.8998
Mn  0.0000  0.0000  0.0000
Mn  0.0000  0.0000  0.5000
Mn  0.0000  0.5000  0.0000
Mn  0.0998  0.6000  0.7995
Mn  0.2002  0.7000  0.6000
Mn  0.3000  0.7998  0.4000
Mn  0.4003  0.4003  0.2004
Mn  0.4000  0.9002  0.2005
Mn  0.4006  0.4006  0.7001
Mn  0.5000  0.0000  0.0000
Mn  0.5994  0.5994  0.2999
Mn  0.6000  0.0998  0.7995
Mn  0.5997  0.5997  0.7996
Mn  0.7000  0.2002  0.6000
Mn  0.7998  0.3000  0.4000
Mn  0.9002  0.4000  0.2005
O  0.0442  0.0442  0.6414
O  0.0689  0.5157  0.1543
O  0.0695  0.0695  0.1544
O  0.0883  0.5347  0.6479
O  0.1152  0.6693  0.9540
O  0.1282  0.1282  0.4468
O  0.1341  0.6881  0.4477
O  0.1532  0.1532  0.9593
O  0.2470  0.2470  0.2410
O  0.2715  0.7106  0.7529
O  0.2719  0.2719  0.7527
O  0.2894  0.7285  0.2471
O  0.3119  0.8659  0.5523
O  0.3303  0.3303  0.0460
O  0.3307  0.8848  0.0460
O  0.3558  0.3558  0.5587
O  0.4466  0.4466  0.8404
O  0.4653  0.9117  0.3521
O  0.4714  0.4714  0.3533
O  0.4843  0.9311  0.8457
O  0.5157  0.0689  0.1543
O  0.5286  0.5286  0.6467
O  0.5347  0.0883  0.6479
O  0.5534  0.5534  0.1596
O  0.6442  0.6442  0.4413
O  0.6693  0.1152  0.9540
O  0.6697  0.6697  0.9540
O  0.6881  0.1341  0.4477
O  0.7106  0.2715  0.7529
O  0.7281  0.7281  0.2473
O  0.7285  0.2894  0.2471
O  0.7530  0.7530  0.7590
O  0.8468  0.8468  0.0407
O  0.8659  0.3119  0.5523
O  0.8718  0.8718  0.5532
O  0.8848  0.3307  0.0460
O  0.9117  0.4653  0.3521
O  0.9305  0.9305  0.8456
O  0.9311  0.4843  0.8457
O  0.9558  0.9558  0.3586

Principal peaks in the range 15 to 90 degrees two-theta, low angle first:
18.53 deg, I = 100
18.65 deg, I = 86
35.97 deg, I = 31
36.11 deg, I = 31
43.81 deg, I = 92
63.68 deg, I = 32



2.
Starting from the PBE+U geometry in the Materials Project, the powder diffraction line list of Ti2MnZnO6 was computed for λ = 1.5418 Å (Cu Kα).
Neutral-atom scattering factors, no anomalous dispersion.

Structural model:
abc: 5.6098 5.6098 5.6098
angles: 54.73 54.73 54.73
Positions (direct):
Ti  0.0000  0.0000  0.0000
Ti  0.2926  0.2926  0.2926
Mn  0.7871  0.7871  0.7871
Zn  0.5080  0.5080  0.5080
O  0.1045  0.3588  0.7085
O  0.1994  0.9226  0.5814
O  0.3588  0.7085  0.1045
O  0.5814  0.1994  0.9226
O  0.7084  0.1045  0.3588
O  0.9226  0.5814  0.1994

Principal peaks in the range 15 to 90 degrees two-theta, low angle first:
32.12 deg, I = 100
34.79 deg, I = 66
48.07 deg, I = 38
52.35 deg, I = 39
60.70 deg, I = 33
62.37 deg, I = 30



3.
Starting from the PBE+U geometry in the Materials Project, the powder diffraction line list of MnTlO3 was computed for λ = 1.5418 Å (Cu Kα).
Neutral-atom scattering factors, no anomalous dispersion.

Structural model:
abc: 7.9336 5.4891 5.5671
angles: 90.00 90.71 90.00
Positions (direct):
Mn  0.0000  0.0000  0.0000
Mn  0.0000  0.5000  0.5000
Mn  0.5000  0.0000  0.0000
Mn  0.5000  0.5000  0.5000
Tl  0.2467  0.0013  0.5309
Tl  0.2467  0.4987  0.0309
Tl  0.7533  0.5013  0.9691
Tl  0.7533  0.9987  0.4691
O  0.0613  0.1909  0.3026
O  0.0613  0.3091  0.8026
O  0.2343  0.6061  0.4655
O  0.2343  0.8939  0.9655
O  0.4564  0.1971  0.6977
O  0.4564  0.3029  0.1977
O  0.5436  0.6971  0.8023
O  0.5436  0.8029  0.3023
O  0.7657  0.1061  0.0345
O  0.7657  0.3939  0.5345
O  0.9387  0.6909  0.1974
O  0.9387  0.8091  0.6974

Principal peaks in the range 15 to 90 degrees two-theta, low angle first:
22.75 deg, I = 65
32.01 deg, I = 100
32.16 deg, I = 45
32.30 deg, I = 90
32.63 deg, I = 45
46.47 deg, I = 42



4.
Starting from the PBE+U geometry in the Materials Project, the powder diffraction line list of MnTlO3 was computed for λ = 1.5418 Å (Cu Kα).
Neutral-atom scattering factors, no anomalous dispersion.

Structural model:
abc: 6.1318 6.1318 12.0134
angles: 90.00 90.00 120.00
Positions (direct):
Mn  0.0000  0.3349  0.0000
Mn  0.0000  0.6651  0.5000
Mn  0.3349  0.0000  0.0000
Mn  0.3349  0.3349  0.5000
Mn  0.6651  0.0000  0.5000
Mn  0.6651  0.6651  0.0000
Tl  0.0000  0.0000  0.2704
Tl  0.0000  0.0000  0.7704
Tl  0.3333  0.6667  0.2396
Tl  0.3333  0.6667  0.7396
Tl  0.6667  0.3333  0.2396
Tl  0.6667  0.3333  0.7396
O  0.0000  0.0000  0.4841
O  0.0000  0.0000  0.9841
O  0.0000  0.3169  0.1617
O  0.0000  0.3507  0.8385
O  0.0000  0.6493  0.3385
O  0.0000  0.6831  0.6617
O  0.3169  0.0000  0.1617
O  0.3169  0.3169  0.6617
O  0.3333  0.6667  0.0087
O  0.3333  0.6667  0.5087
O  0.3507  0.0000  0.8385
O  0.3507  0.3507  0.3385
O  0.6493  0.0000  0.3385
O  0.6493  0.6493  0.8385
O  0.6667  0.3333  0.0087
O  0.6667  0.3333  0.5087
O  0.6831  0.0000  0.6617
O  0.6831  0.6831  0.1617

Principal peaks in the range 15 to 90 degrees two-theta, low angle first:
29.13 deg, I = 50
29.75 deg, I = 31
32.80 deg, I = 100
42.12 deg, I = 43
51.64 deg, I = 31
60.73 deg, I = 24